# 1
The following is a computed powder XRD pattern of Pr8DyHo6. It was derived from a crystal structure in Alexandria, relaxed with PBE, using λ = 1.5418 Å (Cu Kα).

Structure:
```
15
Lattice="9.4761 0.0000 0.0000 -4.7381 8.2066 0.0000 0.0000 0.0000 6.6073" Properties=species:S:1:pos:R:3 pbc="T T T"
Pr -3.1905 6.1573 1.1119
Pr 1.0009 2.3649 1.1119
Pr 2.5485 0.3156 5.4954
Pr 0.0000 5.4711 0.7947
Pr 4.7381 2.7355 5.8125
Pr 2.1896 7.8910 1.1119
Pr 3.7371 5.8417 5.4954
Pr 7.9286 2.0493 5.4954
Dy 0.0000 0.0000 3.3036
Ho -2.2120 5.3940 4.3385
Ho 1.1727 3.5939 4.3385
Ho 3.6988 0.7813 2.2688
Ho 1.0393 7.4252 4.3385
Ho 3.5653 4.6127 2.2688
Ho 6.9501 2.8126 2.2688
```

Principal peaks in the range 10° ≤ 2θ ≤ 90°, in order of rising 2θ:
two_theta, d (Å), I_rel
25.6, 3.486, 25
28.8, 3.102, 35
29.1, 3.065, 24
31.9, 2.808, 100
32.7, 2.736, 21
33.1, 2.710, 57
50.4, 1.811, 18
51.0, 1.791, 14
52.5, 1.743, 11
61.4, 1.510, 12

***

# 2
The following is a computed powder XRD pattern of CePm5Te8. It was derived from a crystal structure in Alexandria, relaxed with PBE, using λ = 1.5418 Å (Cu Kα).

Structure:
```
14
Lattice="-4.7489 4.7489 4.7586 4.7489 -4.7489 4.7586 4.7489 4.7489 -4.7586" Properties=species:S:1:pos:R:3 pbc="T T T"
Ce 0.0000 0.0000 0.0000
Pm 3.6109 2.3772 -1.2043
Pm 4.7489 0.0000 2.3793
Pm 2.3718 -1.1380 5.9629
Pm 1.1380 2.3718 3.5544
Pm 2.3772 5.8870 1.2043
Te 6.4106 0.7139 -0.4740
Te 1.6750 -0.7103 2.8717
Te 0.7139 3.0873 0.4740
Te 3.0740 5.4592 -1.8870
Te 4.0387 3.0740 1.8870
Te 4.0350 1.6617 5.2327
Te -1.6617 4.0350 4.2846
Te 0.7103 1.6750 6.6456
```

Principal peaks in the range 10° ≤ 2θ ≤ 90°, in order of rising 2θ:
two_theta, d (Å), I_rel
29.7, 3.006, 100
35.3, 2.540, 70
42.5, 2.125, 16
44.7, 2.026, 12
46.8, 1.940, 15
48.9, 1.864, 18
60.0, 1.543, 14
60.0, 1.541, 14
63.4, 1.466, 15
73.2, 1.293, 9

***

# 3
The following is a computed powder XRD pattern of ErLuFePd. It was derived from a crystal structure in Alexandria, relaxed with PBE, using λ = 1.5418 Å (Cu Kα).

Structure:
```
16
Lattice="6.7284 0.0000 0.0000 0.0000 6.7284 0.0000 0.0000 0.0000 6.7284" Properties=species:S:1:pos:R:3 pbc="T T T"
Er 0.0000 0.0000 0.0000
Er 0.0000 3.3642 3.3642
Er 3.3642 0.0000 3.3642
Er 3.3642 3.3642 0.0000
Lu 0.0000 0.0000 3.3642
Lu 0.0000 3.3642 0.0000
Lu 3.3642 0.0000 0.0000
Lu 3.3642 3.3642 3.3642
Fe 1.6821 1.6821 5.0463
Fe 1.6821 5.0463 1.6821
Fe 5.0463 1.6821 1.6821
Fe 5.0463 5.0463 5.0463
Pd 1.6821 1.6821 1.6821
Pd 1.6821 5.0463 5.0463
Pd 5.0463 1.6821 5.0463
Pd 5.0463 5.0463 1.6821
```

Principal peaks in the range 10° ≤ 2θ ≤ 90°, in order of rising 2θ:
two_theta, d (Å), I_rel
22.9, 3.885, 2
26.5, 3.364, 14
37.8, 2.379, 100
44.7, 2.029, 1
46.8, 1.942, 4
54.6, 1.682, 17
61.6, 1.505, 6
68.3, 1.373, 35
80.8, 1.189, 11
86.9, 1.121, 3

***

# 4
The following is a computed powder XRD pattern of Cs2Hg3Sb. It was derived from a crystal structure in Alexandria, relaxed with PBE, using λ = 1.5418 Å (Cu Kα).

Structure:
```
12
Lattice="0.0000 5.3128 9.1360 5.2605 0.0000 9.1360 5.2605 5.3128 0.0000" Properties=species:S:1:pos:R:3 pbc="T T T"
Cs 5.2605 2.4768 9.1360
Cs 2.6303 2.6564 4.5680
Cs 7.8908 7.9691 13.7040
Cs 5.2605 8.1487 9.1360
Hg 5.2605 5.3128 3.1335
Hg 7.8215 5.3128 7.5941
Hg 7.8215 5.3128 10.6779
Hg 2.6995 5.3128 7.5941
Hg 2.6995 5.3128 10.6779
Hg 5.2605 5.3128 15.1386
Sb 5.2605 5.3128 6.1454
Sb 5.2605 5.3128 12.1266
```

Principal peaks in the range 10° ≤ 2θ ≤ 90°, in order of rising 2θ:
two_theta, d (Å), I_rel
16.7, 5.313, 25
25.7, 3.461, 100
33.7, 2.656, 21
34.0, 2.636, 41
34.1, 2.630, 20
38.1, 2.360, 20
43.2, 2.096, 25
48.7, 1.870, 44
56.0, 1.641, 15
71.6, 1.319, 14

***

# 5
The following is a computed powder XRD pattern of YVCu. It was derived from a crystal structure in Alexandria, relaxed with PBE, using λ = 1.5418 Å (Cu Kα).

Structure:
```
6
Lattice="3.4523 0.0000 0.0000 0.0000 3.4523 0.0000 0.0000 0.0000 9.5961" Properties=species:S:1:pos:R:3 pbc="T T T"
Y 0.0000 0.0000 1.7723
Y 0.0000 0.0000 7.8238
V 1.7261 1.7261 3.8248
V 1.7261 1.7261 5.7713
Cu 0.0000 0.0000 4.7980
Cu 1.7261 1.7261 0.0000
```

Principal peaks in the range 10° ≤ 2θ ≤ 90°, in order of rising 2θ:
two_theta, d (Å), I_rel
27.9, 3.199, 10
31.9, 2.802, 33
36.8, 2.441, 84
38.4, 2.346, 100
46.8, 1.941, 9
53.1, 1.726, 28
61.5, 1.509, 13
63.3, 1.470, 9
67.3, 1.390, 35
89.8, 1.092, 12

***

# 6
The following is a computed powder XRD pattern of PmAlPdO4. It was derived from a crystal structure in Alexandria, relaxed with PBE, using λ = 1.5418 Å (Cu Kα).

Structure:
```
14
Lattice="3.0185 -4.4570 0.0000 3.0185 4.4570 0.0000 0.0000 0.0000 7.0881" Properties=species:S:1:pos:R:3 pbc="T T T"
Pm 0.0000 0.0000 0.0000
Pm 0.0000 0.0000 3.5441
Al 3.0185 1.1588 5.3161
Al 3.0185 -1.1588 1.7720
Pd 3.0185 1.8135 1.7720
Pd 3.0185 -1.8135 5.3161
O 1.5634 0.1104 5.3161
O 3.0185 2.1090 3.8141
O 3.0185 2.1090 6.8181
O 1.5634 -0.1104 1.7720
O 4.4735 0.1104 5.3161
O 3.0185 -2.1090 0.2700
O 3.0185 -2.1090 3.2741
O 4.4735 -0.1104 1.7720
```

Principal peaks in the range 10° ≤ 2θ ≤ 90°, in order of rising 2θ:
two_theta, d (Å), I_rel
17.7, 4.999, 41
21.8, 4.085, 36
29.6, 3.018, 58
30.9, 2.891, 100
32.3, 2.774, 36
33.6, 2.666, 69
44.4, 2.042, 56
53.4, 1.717, 21
60.1, 1.540, 21
63.0, 1.476, 21

***

# 7
The following is a computed powder XRD pattern of KTl2SCl. It was derived from a crystal structure in Alexandria, relaxed with PBE, using λ = 1.5418 Å (Cu Kα).

Structure:
```
10
Lattice="7.9103 0.0000 0.0000 0.0000 4.1954 0.0000 -1.9998 0.0000 10.2004" Properties=species:S:1:pos:R:3 pbc="T T T"
K -0.1314 1.0489 1.8877
K 6.0419 3.1466 8.3127
Tl 1.2567 1.0489 5.3977
Tl 2.2916 3.1466 8.2025
Tl 3.6188 1.0489 1.9978
Tl 4.6537 3.1466 4.8027
S 1.8995 3.1466 3.4840
S 4.0109 1.0489 6.7164
Cl -0.1169 1.0489 9.7142
Cl 6.0273 3.1466 0.4861
```

Principal peaks in the range 10° ≤ 2θ ≤ 90°, in order of rising 2θ:
two_theta, d (Å), I_rel
11.4, 7.762, 100
22.9, 3.883, 46
24.1, 3.691, 30
26.1, 3.421, 54
26.2, 3.400, 32
26.4, 3.373, 43
27.5, 3.240, 32
28.5, 3.129, 64
33.8, 2.650, 64
51.1, 1.788, 30

***

# 8
The following is a computed powder XRD pattern of Ba3NdRu2O9. It was derived from a crystal structure in Alexandria, relaxed with PBE, using λ = 1.5418 Å (Cu Kα).

Structure:
```
15
Lattice="5.9380 0.0000 0.0000 -2.9690 5.1425 0.0000 0.0000 0.0000 7.4016" Properties=species:S:1:pos:R:3 pbc="T T T"
Ba 0.0000 0.0000 0.0000
Ba 0.0000 3.4283 5.0972
Ba 2.9690 1.7142 2.3044
Nd 0.0000 0.0000 3.7008
Ru 0.0000 3.4283 1.1771
Ru 2.9690 1.7142 6.2245
O -1.4845 2.5713 0.0000
O 0.0000 1.8357 2.3045
O -1.3792 4.2246 2.3045
O 1.5898 0.9179 5.0970
O 2.9690 0.0000 0.0000
O 1.4845 2.5713 0.0000
O 1.3792 4.2246 2.3045
O 4.3483 0.9179 5.0970
O 2.9690 3.3068 5.0970
```

Principal peaks in the range 10° ≤ 2θ ≤ 90°, in order of rising 2θ:
two_theta, d (Å), I_rel
29.7, 3.004, 100
30.1, 2.969, 98
42.8, 2.112, 59
52.6, 1.741, 18
53.2, 1.721, 38
53.5, 1.714, 19
61.8, 1.502, 17
62.6, 1.485, 18
70.2, 1.340, 16
70.8, 1.331, 17